1.
For Mg6ZnCoO8, a PBE+U-relaxed structure gives the calculated X-ray diffraction stick pattern in this record (Cu Kα X-rays).
Neutral-atom scattering factors, no anomalous dispersion.

Top 10 peaks for 2θ = 10–80°, in order of rising 2θ:
2θ 20.81, rel. 25
2θ 29.59, rel. 21
2θ 36.45, rel. 29
2θ 42.35, rel. 100
2θ 47.63, rel. 11
2θ 52.51, rel. 8
2θ 61.43, rel. 57
2θ 65.61, rel. 5
2θ 73.59, rel. 14
2θ 77.45, rel. 17

Structure:
```
16
Lattice="4.2678 0.0000 0.0000 0.0000 4.2678 0.0000 0.0000 0.0000 8.5423" Properties=species:S:1:pos:R:3 pbc="T T T"
Mg 0.0000 0.0000 0.0000
Mg 0.0000 0.0000 4.2712
Mg 0.0000 2.1339 2.1286
Mg 0.0000 2.1339 6.4137
Mg 2.1339 0.0000 2.1286
Mg 2.1339 0.0000 6.4137
Zn 2.1339 2.1339 4.2712
Co 2.1339 2.1339 0.0000
O 0.0000 0.0000 2.1381
O 0.0000 0.0000 6.4042
O 0.0000 2.1339 0.0000
O 0.0000 2.1339 4.2712
O 2.1339 0.0000 0.0000
O 2.1339 0.0000 4.2712
O 2.1339 2.1339 2.1232
O 2.1339 2.1339 6.4191
```

---

2.
For Li3Co2Si2O8, a PBE+U-relaxed structure gives the calculated X-ray diffraction stick pattern in this record (Cu Kα X-rays).
Neutral-atom scattering factors, no anomalous dispersion.

Top 10 peaks for 2θ = 10–80°, in order of rising 2θ:
2θ 16.04, rel. 74
2θ 23.44, rel. 100
2θ 23.93, rel. 14
2θ 29.14, rel. 37
2θ 32.41, rel. 16
2θ 33.06, rel. 19
2θ 33.26, rel. 22
2θ 33.44, rel. 56
2θ 34.35, rel. 40
2θ 58.47, rel. 26

Structure:
```
30
Lattice="5.2218 0.0000 0.0000 0.0000 11.0501 0.0000 -0.0815 0.0000 6.1284" Properties=species:S:1:pos:R:3 pbc="T T T"
Li 0.2210 0.0000 1.4779
Li 0.2270 0.0143 4.6354
Li 2.2919 7.3013 4.5564
Li 2.8484 1.7762 1.5720
Li 4.9133 5.5393 1.4929
Li 4.9193 5.5251 4.6504
Co 0.4052 8.3151 0.0871
Co 2.2566 10.0219 3.0673
Co 2.8837 4.4969 3.0610
Co 4.7351 2.7901 6.0412
Si 0.2890 2.7331 3.0348
Si 2.2747 4.5353 0.0267
Si 2.8656 10.0604 6.1017
Si 4.8513 8.2582 3.0936
O 0.0035 7.4342 1.7368
O 0.1719 7.4345 4.4283
O 0.2855 9.8061 3.0375
O 0.6137 4.5056 0.0100
O 1.9438 2.8798 2.8941
O 2.2352 8.5609 6.1065
O 2.3191 10.8764 4.7493
O 2.4039 10.9045 1.3357
O 2.7364 5.3795 4.7927
O 2.8212 5.3513 1.3790
O 2.9051 3.0358 0.0218
O 3.1965 8.4049 3.2343
O 4.5266 10.0307 6.1183
O 4.8548 4.2810 3.0908
O 4.9684 1.9095 1.7001
O 5.1368 1.9091 4.3915
```